1.
Simulated powder diffraction line list of Co2OF3 for Cu Kα, from a crystal structure in the Materials Project, relaxed with PBE+U.

Atomic structure:
```
24
Lattice="4.567 -3.318 0.000 4.567 3.318 0.000 -0.677 0.000 9.042" Properties=species:S:1:pos:R:3 pbc="T T T"
Co 0.000 0.000 0.000
Co 0.569 0.000 5.447
Co 2.178 0.000 2.099
Co 2.676 0.000 7.980
Co 4.228 0.000 4.521
Co 5.781 0.000 1.062
Co 6.279 0.000 6.943
Co 7.887 0.000 3.594
O 4.228 1.867 4.521
O 2.027 0.000 0.283
O 6.430 0.000 8.759
O 4.228 -1.867 4.521
F 0.124 0.000 2.098
F 1.712 1.260 6.691
F 2.187 0.000 4.160
F 4.567 1.300 0.000
F 1.712 -1.260 6.691
F 4.193 0.000 2.436
F 4.264 0.000 6.606
F 6.744 1.260 2.351
F 4.567 -1.300 0.000
F 6.270 0.000 4.882
F 6.744 -1.260 2.351
F 8.332 0.000 6.944
```

Top 10 peaks for 10 to 80 degrees two-theta, low angle first:
Position (°2θ)  I/Imax
26.73  969
26.87  1000
34.61  530
34.78  496
39.85  230
52.34  287
52.66  567
52.74  289
66.72  300
67.04  192



2.
Simulated powder diffraction line list of CuMoO4 for Cu Kα, from a crystal structure in the Materials Project, relaxed with PBE+U.

Atomic structure:
```
12
Lattice="3.833 0.000 0.000 0.000 3.833 0.000 0.000 0.000 10.242" Properties=species:S:1:pos:R:3 pbc="T T T"
Cu 0.000 0.000 0.000
Cu 1.916 1.916 5.121
Mo 0.000 1.916 2.561
Mo 1.916 0.000 7.682
O 0.000 0.000 2.439
O 0.000 0.000 7.803
O 0.000 1.916 0.611
O 0.000 1.916 4.510
O 1.916 0.000 5.732
O 1.916 0.000 9.632
O 1.916 1.916 2.682
O 1.916 1.916 7.560
```

Top 10 peaks for 10 to 80 degrees two-theta, low angle first:
Position (°2θ)  I/Imax
24.80  1000
35.04  233
35.20  192
37.55  233
47.44  245
50.52  173
54.26  209
60.33  169
64.52  92
71.81  109